# 1
Starting from a structure optimized by DFT (GGA-PBE), the powder diffractogram of Li3Y2Cu12Pt was calculated for CuKα.
Kinematic intensities with the Lorentz-polarization factor, no thermal factor.

```
Li3Y2Cu12Pt
1.0
4.3928 2.5362 4.0630
-4.3928 2.5362 4.0630
0.0000 -5.0724 4.0630
Li Y Cu Pt
3 2 12 1
Direct
0.0000 0.5000 0.5000
0.5000 0.0000 0.5000
0.5000 0.5000 0.0000
0.2262 0.2262 0.2262
0.7738 0.7738 0.7738
0.0708 0.0708 0.6510
0.0708 0.6510 0.0708
0.2213 0.7031 0.7031
0.2969 0.2969 0.7787
0.2969 0.7787 0.2969
0.3490 0.9292 0.9292
0.6510 0.0708 0.0708
0.7031 0.2213 0.7031
0.7031 0.7031 0.2213
0.7787 0.2969 0.2969
0.9292 0.3490 0.9292
0.9292 0.9292 0.3490
0.5000 0.5000 0.5000
```

Top 10 peaks for 10° ≤ 2θ ≤ 90°, by angle:
| d_spacing | intensity |
| --- | --- |
| 4.757 | 203 |
| 4.063 | 279 |
| 3.632 | 396 |
| 2.983 | 173 |
| 2.829 | 195 |
| 2.196 | 1000 |
| 2.151 | 212 |
| 2.091 | 270 |
| 2.053 | 346 |
| 1.932 | 247 |

***

# 2
Starting from a structure optimized by DFT (GGA-PBE), the powder diffractogram of Li6CuRh2 was calculated for CuKα.
Kinematic intensities with the Lorentz-polarization factor, no thermal factor.

```
Li6CuRh2
1.0
3.4942 -6.7939 0.0000
3.4942 6.7939 0.0000
-0.3872 0.0000 2.7412
Li Cu Rh
6 1 2
Direct
0.0012 0.6497 0.6560
0.2015 0.2015 0.8776
0.3503 0.9988 0.3440
0.6497 0.0012 0.6560
0.7985 0.7985 0.1224
0.9988 0.3503 0.3440
0.5000 0.5000 0.5000
0.3421 0.6579 0.0000
0.6579 0.3421 0.0000
```

Top 10 peaks for 10° ≤ 2θ ≤ 90°, by angle:
| d_spacing | intensity |
| --- | --- |
| 6.166 | 1000 |
| 3.790 | 182 |
| 3.460 | 274 |
| 2.307 | 214 |
| 2.274 | 103 |
| 2.265 | 112 |
| 2.144 | 200 |
| 2.133 | 85 |
| 1.895 | 90 |
| 1.753 | 80 |

***

# 3
Starting from a structure optimized by DFT (GGA-PBE), the powder diffractogram of Li3CuRh was calculated for CuKα.
Kinematic intensities with the Lorentz-polarization factor, no thermal factor.

```
Li3CuRh
1.0
4.3795 0.0000 0.0000
0.0002 4.7161 0.0000
2.1817 0.0069 6.9130
Li Cu Rh
6 2 2
Direct
0.0000 0.0000 0.0000
0.0000 0.5000 0.0000
0.2468 0.2481 0.5031
0.3657 0.7482 0.2722
0.6343 0.2518 0.7278
0.7532 0.7519 0.4969
0.1575 0.7467 0.6880
0.8425 0.2533 0.3120
0.4463 0.2492 0.1053
0.5537 0.7508 0.8947
```

Top 10 peaks for 10° ≤ 2θ ≤ 90°, by angle:
| d_spacing | intensity |
| --- | --- |
| 6.913 | 400 |
| 4.175 | 278 |
| 3.896 | 1000 |
| 3.175 | 524 |
| 2.634 | 207 |
| 2.358 | 274 |
| 2.190 | 245 |
| 2.095 | 791 |
| 1.909 | 269 |
| 1.893 | 273 |

***

# 4
Starting from a structure optimized by DFT (GGA-PBE), the powder diffractogram of Li12Cu2Rh was calculated for CuKα.
Kinematic intensities with the Lorentz-polarization factor, no thermal factor.

```
Li12Cu2Rh
1.0
2.6383 0.0000 0.0000
0.0000 4.8499 0.0000
0.0000 0.0000 18.4656
Li Cu Rh
12 2 1
Direct
0.0000 0.0000 0.0666
0.0000 0.0000 0.9334
0.0000 0.2450 0.5000
0.0000 0.7550 0.5000
0.5000 0.0000 0.2199
0.5000 0.0000 0.3575
0.5000 0.0000 0.6425
0.5000 0.0000 0.7801
0.5000 0.5000 0.1254
0.5000 0.5000 0.3732
0.5000 0.5000 0.6268
0.5000 0.5000 0.8746
0.0000 0.5000 0.2542
0.0000 0.5000 0.7458
0.0000 0.5000 0.0000
```

Top 10 peaks for 10° ≤ 2θ ≤ 90°, by angle:
| d_spacing | intensity |
| --- | --- |
| 6.155 | 411 |
| 4.850 | 1000 |
| 4.691 | 326 |
| 4.616 | 865 |
| 3.344 | 752 |
| 2.425 | 317 |
| 2.318 | 432 |
| 2.291 | 391 |
| 2.084 | 270 |
| 2.071 | 525 |

***

# 5
Starting from a structure optimized by DFT (GGA-PBE), the powder diffractogram of Li7Cu4Rh was calculated for CuKα.
Kinematic intensities with the Lorentz-polarization factor, no thermal factor.

```
Li7Cu4Rh
1.0
5.4569 -2.2702 0.0000
5.4569 2.2702 0.0000
-0.7593 0.0000 7.1077
Li Cu Rh
7 4 1
Direct
0.0000 0.0000 0.0000
0.2502 0.2502 0.8789
0.3511 0.3511 0.2685
0.4124 0.4124 0.6446
0.5876 0.5876 0.3554
0.6489 0.6489 0.7315
0.7498 0.7498 0.1211
0.0176 0.0176 0.6754
0.1927 0.1927 0.4963
0.8073 0.8073 0.5037
0.9824 0.9824 0.3246
0.5000 0.5000 0.0000
```

Top 10 peaks for 10° ≤ 2θ ≤ 90°, by angle:
| d_spacing | intensity |
| --- | --- |
| 7.108 | 368 |
| 5.426 | 469 |
| 4.108 | 404 |
| 3.675 | 1000 |
| 3.548 | 928 |
| 2.309 | 368 |
| 2.270 | 487 |
| 2.261 | 401 |
| 2.129 | 621 |
| 1.936 | 490 |

***

# 6
Starting from a structure optimized by DFT (GGA-PBE), the powder diffractogram of Sr2Li3Cu12Rh was calculated for CuKα.
Kinematic intensities with the Lorentz-polarization factor, no thermal factor.

```
Sr2Li3Cu12Rh
1.0
3.0498 1.7608 9.3312
-3.0498 1.7608 9.3312
0.0000 -3.5216 9.3312
Sr Li Cu Rh
2 3 12 1
Direct
0.1499 0.1499 0.1499
0.8501 0.8501 0.8501
0.0000 0.5000 0.5000
0.5000 0.0000 0.5000
0.5000 0.5000 0.0000
0.0829 0.0829 0.6892
0.0829 0.6892 0.0829
0.1498 0.5635 0.5635
0.3108 0.9171 0.9171
0.4365 0.4365 0.8502
0.4365 0.8502 0.4365
0.5635 0.1498 0.5635
0.5635 0.5635 0.1498
0.6892 0.0829 0.0829
0.8502 0.4365 0.4365
0.9171 0.3108 0.9171
0.9171 0.9171 0.3108
0.5000 0.5000 0.5000
```

Top 10 peaks for 10° ≤ 2θ ≤ 90°, by angle:
| d_spacing | intensity |
| --- | --- |
| 4.942 | 440 |
| 2.899 | 631 |
| 2.553 | 582 |
| 2.472 | 1000 |
| 2.293 | 436 |
| 2.108 | 272 |
| 1.977 | 291 |
| 1.920 | 330 |
| 1.647 | 404 |
| 1.397 | 274 |